The following is a simulated powder XRD pattern of K2Sn5Au4. It was derived from a DFT-relaxed cell (PBE, Alexandria), using Cu Ka.

Main lines, by angle (2θ = 5–70°):
two_theta  intensity
16.47  68
18.72  27
29.90  37
31.44  41
33.62  97
37.15  100
38.76  46
39.16  44
54.92  27
69.12  23

Atomic structure:
```
K2Sn5Au4
1.0
6.599 -3.270 0.000
6.599 3.270 0.000
-6.403 0.000 6.610
K Sn Au
2 5 4
direct
0.000 0.000 0.195
0.000 0.000 0.805
0.066 0.582 0.325
0.418 0.934 0.675
0.500 0.500 0.000
0.582 0.066 0.325
0.934 0.418 0.675
0.336 0.336 0.583
0.337 0.337 0.091
0.663 0.663 0.909
0.664 0.664 0.417
```